Starting from a cell relaxed with GGA-PBE, the powder diffractogram of Ba3Ac2TlTe6 was calculated for λ = 1.5418 Å (Cu Kα).

Peak list (10 most intense, 2θ from 10° to 90°, sorted by position)
| 2θ/deg | d [Å] | Rel. int. |
| --- | --- | --- |
| 25.7 | 3.464 | 100 |
| 36.5 | 2.461 | 39 |
| 36.9 | 2.437 | 39 |
| 44.9 | 2.019 | 7 |
| 45.5 | 1.993 | 21 |
| 52.8 | 1.733 | 9 |
| 59.4 | 1.555 | 18 |
| 59.9 | 1.544 | 12 |
| 65.5 | 1.425 | 7 |
| 66.2 | 1.411 | 9 |

Structure:
abc: 10.906 10.906 9.844
angles: 102.22 102.22 25.87
Fractional coordinates of all 12 atoms:
Ba 0.000 0.000 0.000
Ba 0.339 0.339 0.662
Ba 0.661 0.661 0.338
Ac 0.334 0.334 0.167
Ac 0.666 0.666 0.833
Tl 0.000 0.000 0.500
Te 0.170 0.170 0.600
Te 0.171 0.171 0.078
Te 0.493 0.493 0.245
Te 0.507 0.507 0.755
Te 0.829 0.829 0.922
Te 0.830 0.830 0.400